No. 1
Starting from a GGA-PBE-relaxed structure, the X-ray powder pattern of Pa4Sb8Ru3 was computed for Cu Kα.
Intensities are scaled so that the largest is 100.

Crystal structure
Unit cell a=4.4215 b=4.4215 c=18.2799 alpha=90.00 beta=90.00 gamma=90.00
Fractional positions:
Pa  0.0000  0.5000  0.1085
Pa  0.0000  0.5000  0.6148
Pa  0.5000  0.0000  0.3852
Pa  0.5000  0.0000  0.8915
Sb  0.0000  0.0000  0.2460
Sb  0.0000  0.0000  0.7540
Sb  0.0000  0.5000  0.4113
Sb  0.0000  0.5000  0.9213
Sb  0.5000  0.0000  0.0787
Sb  0.5000  0.0000  0.5887
Sb  0.5000  0.5000  0.2460
Sb  0.5000  0.5000  0.7540
Ru  0.0000  0.0000  0.0000
Ru  0.0000  0.0000  0.5000
Ru  0.5000  0.5000  0.5000

Principal peaks in the range 2θ = 5–70°, low angle first:
2θ (°), d (Å), I/Imax
22.34, 3.980, 19
30.21, 2.958, 13
34.77, 2.580, 100
35.79, 2.509, 16
40.82, 2.211, 43
59.10, 1.563, 14

***

No. 2
Starting from a GGA-PBE-relaxed structure, the X-ray powder pattern of ZrZn4Hg was computed for Cu Kα.
Intensities are scaled so that the largest is 100.

Crystal structure
Unit cell a=5.2793 b=5.2793 c=5.2793 alpha=60.00 beta=60.00 gamma=60.00
Fractional positions:
Zr  0.0000  0.0000  0.0000
Zn  0.3734  0.3734  0.3734
Zn  0.3734  0.3734  0.8797
Zn  0.3734  0.8797  0.3734
Zn  0.8797  0.3734  0.3734
Hg  0.7500  0.7500  0.7500

Principal peaks in the range 2θ = 5–70°, low angle first:
2θ (°), d (Å), I/Imax
20.61, 4.311, 12
33.96, 2.640, 53
40.05, 2.251, 100
41.92, 2.155, 21
60.78, 1.524, 20
64.90, 1.437, 32

***

No. 3
Starting from a GGA-PBE-relaxed structure, the X-ray powder pattern of FeCo2Hg was computed for Cu Kα.
Intensities are scaled so that the largest is 100.

Crystal structure
Unit cell a=2.9062 b=2.9062 c=6.5798 alpha=90.00 beta=90.00 gamma=90.00
Fractional positions:
Fe  0.0000  0.0000  0.0000
Co  0.0000  0.0000  0.6019
Co  0.5000  0.5000  0.7881
Hg  0.5000  0.5000  0.3056

Principal peaks in the range 2θ = 5–70°, low angle first:
2θ (°), d (Å), I/Imax
13.46, 6.580, 26
27.10, 3.290, 16
30.77, 2.906, 17
33.71, 2.658, 43
41.46, 2.178, 100
44.07, 2.055, 48

***

No. 4
Starting from a GGA-PBE-relaxed structure, the X-ray powder pattern of Ac7SiSn3 was computed for Cu Kα.
Intensities are scaled so that the largest is 100.

Crystal structure
Unit cell a=8.6756 b=8.6756 c=8.6756 alpha=137.69 beta=107.82 gamma=87.39
Fractional positions:
Ac  0.0000  0.0000  0.0000
Ac  0.0993  0.7615  0.3378
Ac  0.3187  0.5000  0.8187
Ac  0.4237  0.7615  0.6622
Ac  0.5763  0.2385  0.3378
Ac  0.6813  0.5000  0.1813
Ac  0.9007  0.2385  0.6622
Si  0.0000  0.5000  0.5000
Sn  0.2678  0.2678  0.0000
Sn  0.5000  0.0000  0.5000
Sn  0.7322  0.7322  0.0000

Principal peaks in the range 2θ = 5–70°, low angle first:
2θ (°), d (Å), I/Imax
23.56, 3.776, 26
28.48, 3.134, 100
31.11, 2.875, 26
33.17, 2.701, 80
40.72, 2.216, 38
53.49, 1.713, 39

***

No. 5
Starting from a GGA-PBE-relaxed structure, the X-ray powder pattern of Pm8PrPt6 was computed for Cu Kα.
Intensities are scaled so that the largest is 100.

Crystal structure
Unit cell a=8.0946 b=8.0946 c=8.0946 alpha=63.93 beta=63.93 gamma=63.93
Fractional positions:
Pm  0.0532  0.3887  0.7225
Pm  0.1665  0.1665  0.1665
Pm  0.2775  0.9468  0.6113
Pm  0.3887  0.7225  0.0532
Pm  0.6113  0.2775  0.9468
Pm  0.7225  0.0532  0.3887
Pm  0.8335  0.8335  0.8335
Pm  0.9468  0.6113  0.2775
Pr  0.5000  0.5000  0.5000
Pt  0.0996  0.7694  0.4339
Pt  0.2306  0.5661  0.9004
Pt  0.4339  0.0996  0.7694
Pt  0.5661  0.9004  0.2306
Pt  0.7694  0.4339  0.0996
Pt  0.9004  0.2306  0.5661

Principal peaks in the range 2θ = 5–70°, low angle first:
2θ (°), d (Å), I/Imax
20.73, 4.285, 22
25.00, 3.562, 25
34.97, 2.566, 100
36.31, 2.474, 96
51.30, 1.781, 34
64.47, 1.445, 34

***

No. 6
Starting from a GGA-PBE-relaxed structure, the X-ray powder pattern of Ag4SbAu8 was computed for Cu Kα.
Intensities are scaled so that the largest is 100.

Crystal structure
Unit cell a=2.9326 b=4.7739 c=17.9970 alpha=90.00 beta=90.00 gamma=90.00
Fractional positions:
Ag  0.0000  0.0000  0.0000
Ag  0.0000  0.5000  0.1891
Ag  0.5000  0.0000  0.4232
Ag  0.5000  0.5000  0.6291
Sb  0.0000  0.0000  0.7188
Au  0.0000  0.0000  0.2819
Au  0.0000  0.0000  0.5634
Au  0.0000  0.5000  0.4765
Au  0.0000  0.5000  0.9022
Au  0.5000  0.0000  0.1403
Au  0.5000  0.0000  0.8603
Au  0.5000  0.5000  0.0475
Au  0.5000  0.5000  0.3319

Principal peaks in the range 2θ = 5–70°, low angle first:
2θ (°), d (Å), I/Imax
36.58, 2.457, 30
37.69, 2.387, 72
39.05, 2.307, 100
39.82, 2.264, 95
41.33, 2.185, 71
53.53, 1.712, 20

***

No. 7
Starting from a GGA-PBE-relaxed structure, the X-ray powder pattern of Na14TlPb was computed for Cu Kα.
Intensities are scaled so that the largest is 100.

Crystal structure
Unit cell a=7.3141 b=7.3141 c=10.0383 alpha=90.00 beta=90.00 gamma=90.00
Fractional positions:
Na  0.0000  0.0000  0.0000
Na  0.0000  0.5000  0.0000
Na  0.0000  0.5000  0.5000
Na  0.2489  0.2489  0.2714
Na  0.2489  0.2489  0.7286
Na  0.2489  0.7511  0.2714
Na  0.2489  0.7511  0.7286
Na  0.5000  0.0000  0.0000
Na  0.5000  0.0000  0.5000
Na  0.5000  0.5000  0.0000
Na  0.7511  0.2489  0.2714
Na  0.7511  0.2489  0.7286
Na  0.7511  0.7511  0.2714
Na  0.7511  0.7511  0.7286
Tl  0.5000  0.5000  0.5000
Pb  0.0000  0.0000  0.5000

Principal peaks in the range 2θ = 5–70°, low angle first:
2θ (°), d (Å), I/Imax
8.81, 10.038, 100
17.15, 5.172, 41
19.31, 4.598, 63
24.72, 3.602, 36
30.24, 2.956, 96
34.69, 2.586, 34

***

No. 8
Starting from a GGA-PBE-relaxed structure, the X-ray powder pattern of SiGeP3 was computed for Cu Kα.
Intensities are scaled so that the largest is 100.

Crystal structure
Unit cell a=6.0588 b=10.1105 c=6.2719 alpha=90.00 beta=90.00 gamma=90.00
Fractional positions:
Si  0.0193  0.2500  0.0780
Si  0.4807  0.7500  0.5780
Si  0.5193  0.2500  0.4220
Si  0.9807  0.7500  0.9220
Ge  0.0000  0.0000  0.5000
Ge  0.0000  0.5000  0.5000
Ge  0.5000  0.0000  0.0000
Ge  0.5000  0.5000  0.0000
P  0.0975  0.5658  0.0974
P  0.0975  0.9342  0.0974
P  0.1011  0.7500  0.5810
P  0.3989  0.2500  0.0810
P  0.4025  0.0658  0.5974
P  0.4025  0.4342  0.5974
P  0.5975  0.5658  0.4026
P  0.5975  0.9342  0.4026
P  0.6011  0.7500  0.9190
P  0.8989  0.2500  0.4190
P  0.9025  0.0658  0.9026
P  0.9025  0.4342  0.9026

Principal peaks in the range 2θ = 5–70°, low angle first:
2θ (°), d (Å), I/Imax
17.54, 5.055, 61
27.01, 3.301, 68
28.46, 3.136, 100
29.49, 3.029, 98
33.62, 2.665, 58
50.81, 1.797, 62

***

No. 9
Starting from a GGA-PBE-relaxed structure, the X-ray powder pattern of Rb3Pm3TcS8 was computed for Cu Kα.
Intensities are scaled so that the largest is 100.

Crystal structure
Unit cell a=9.1278 b=9.1278 c=9.1278 alpha=52.54 beta=52.54 gamma=52.54
Fractional positions:
Rb  0.0000  0.5000  0.5000
Rb  0.5000  0.0000  0.5000
Rb  0.5000  0.5000  0.0000
Pm  0.0000  0.0000  0.5000
Pm  0.0000  0.5000  0.0000
Pm  0.5000  0.0000  0.0000
Tc  0.5000  0.5000  0.5000
S  0.2325  0.2325  0.2325
S  0.2623  0.7089  0.7089
S  0.2911  0.2911  0.7377
S  0.2911  0.7377  0.2911
S  0.7089  0.2623  0.7089
S  0.7089  0.7089  0.2623
S  0.7377  0.2911  0.2911
S  0.7675  0.7675  0.7675

Principal peaks in the range 2θ = 5–70°, low angle first:
2θ (°), d (Å), I/Imax
11.28, 7.846, 48
22.67, 3.923, 23
26.58, 3.354, 38
29.71, 3.007, 100
40.04, 2.252, 35
44.87, 2.020, 32

***

No. 10
Starting from a GGA-PBE-relaxed structure, the X-ray powder pattern of Cs3SmY2Te6 was computed for Cu Kα.
Intensities are scaled so that the largest is 100.

Crystal structure
Unit cell a=7.9342 b=7.9342 c=9.3062 alpha=98.17 beta=98.17 gamma=120.00
Fractional positions:
Cs  0.0000  0.0000  0.0000
Cs  0.3345  0.6655  0.0000
Cs  0.6655  0.3345  0.0000
Sm  0.5000  0.5000  0.5000
Y  0.1668  0.8332  0.5000
Y  0.8332  0.1668  0.5000
Te  0.0986  0.4362  0.3089
Te  0.2259  0.2259  0.6907
Te  0.4362  0.0986  0.3089
Te  0.5638  0.9014  0.6911
Te  0.7741  0.7741  0.3093
Te  0.9014  0.5638  0.6911

Principal peaks in the range 2θ = 5–70°, low angle first:
2θ (°), d (Å), I/Imax
26.11, 3.412, 100
27.99, 3.187, 11
35.09, 2.558, 31
39.34, 2.290, 38
47.83, 1.902, 19
63.59, 1.463, 18